Theoretical XRD peak list
Compound: CsCo3Rh
Radiation: CuKα
Structure: a DFT-relaxed cell (PBE, Alexandria)
Peak positions follow from Bragg's law for the DFT cell and can differ from measured ones.

Peak list (10 most intense, 15° ≤ 2θ ≤ 90°, in order of rising 2θ)
index	two_theta	intensity
1 0 0	19.3	26
1 1 0	27.4	88
1 1 1	33.8	31
2 0 0	39.2	100
2 1 0	44.0	12
2 1 1	48.5	37
2 2 0	56.6	65
3 1 0	64.0	16
2 2 2	71.0	22
3 2 1	77.7	19

Cell and atoms:
Cell: 4.5976 4.5976 4.5976 Å, 90.00 90.00 90.00°
Space group Pm-3m (No. 221)
Symmetry-distinct sites (fractional):
Cs (0.0000, 0.0000, 0.0000) (multiplicity 1)
Co (0.0000, 0.0000, 0.5000) (multiplicity 3)
Rh (0.5000, 0.5000, 0.5000) (multiplicity 1)